(1)
For Cu2SiS3, a cell relaxed with PBE gives the theoretical XRD peak list in this record (a wavelength of 1.5418 Å).
Intensities are scaled so that the largest is 100.

Main lines, by angle (2θ from 10° to 90°):
d = 3.184 Å, intensity 100.0; d = 3.071 Å, intensity 51.1; d = 2.827 Å, intensity 95.1; d = 2.210 Å, intensity 35.4; d = 1.838 Å, intensity 68.4; d = 1.722 Å, intensity 77.8; d = 1.577 Å, intensity 37.0; d = 1.541 Å, intensity 14.0; d = 1.257 Å, intensity 25.2; d = 1.146 Å, intensity 13.7

Atomic structure:
```
Cu2SiS3
1.0
6.367 0.000 0.000
-3.184 5.514 0.000
0.000 0.000 6.143
Cu Si S
4 2 6
Cartesian
0.000 0.000 0.000
-1.055 1.827 3.202
2.110 0.000 3.202
2.129 3.687 3.202
0.000 3.676 6.120
3.184 1.838 6.120
0.000 0.000 3.900
-1.124 1.947 0.917
0.000 3.676 4.049
2.248 0.000 0.917
2.059 3.567 0.917
3.184 1.838 4.049
```

***

(2)
For Hg2CN2Cl2, a cell relaxed with PBE gives the theoretical XRD peak list in this record (a wavelength of 1.5418 Å).
Intensities are scaled so that the largest is 100.

Main lines, by angle (2θ from 10° to 90°):
d = 5.980 Å, intensity 46.9; d = 4.107 Å, intensity 58.5; d = 3.958 Å, intensity 100.0; d = 3.748 Å, intensity 29.9; d = 3.624 Å, intensity 25.0; d = 3.215 Å, intensity 24.4; d = 3.058 Å, intensity 25.3; d = 3.021 Å, intensity 88.9; d = 2.631 Å, intensity 34.5; d = 2.248 Å, intensity 29.1

Atomic structure:
```
Hg2CN2Cl2
1.0
8.264 0.000 0.000
0.000 9.165 0.000
-2.497 0.000 8.036
Hg C N Cl
8 4 8 8
Cartesian
0.000 0.000 0.000
-1.249 0.000 4.018
0.000 4.582 0.000
-1.249 4.582 4.018
2.483 1.655 2.157
1.234 2.927 6.175
4.532 6.237 1.861
3.283 7.510 5.879
1.579 5.396 4.696
2.827 8.351 0.678
2.939 0.814 7.358
4.188 3.769 3.340
1.945 0.069 0.843
0.696 4.513 4.861
2.488 6.165 4.485
3.737 7.582 0.467
2.030 1.582 7.569
3.278 3.000 3.551
5.070 4.651 3.175
3.822 9.096 7.193
-0.441 2.257 1.947
-1.690 2.325 5.965
1.064 0.196 4.564
2.313 4.386 0.546
3.454 4.779 7.490
4.702 8.968 3.472
7.457 6.839 2.071
6.208 6.908 6.089
```

***

(3)
For LaSi2Rh3, a cell relaxed with PBE gives the theoretical XRD peak list in this record (a wavelength of 1.5418 Å).
Intensities are scaled so that the largest is 100.

Main lines, by angle (2θ from 10° to 90°):
d = 2.905 Å, intensity 100.0; d = 2.465 Å, intensity 46.8; d = 2.455 Å, intensity 84.0; d = 2.231 Å, intensity 63.6; d = 2.225 Å, intensity 23.1; d = 2.028 Å, intensity 22.9; d = 1.800 Å, intensity 20.9; d = 1.653 Å, intensity 22.7; d = 1.452 Å, intensity 21.3; d = 1.421 Å, intensity 20.0

Atomic structure:
```
LaSi2Rh3
1.0
-3.600 4.931 2.831
3.600 -4.931 2.831
3.600 4.931 -2.831
La Si Rh
2 4 6
Cartesian
0.000 2.465 1.185
3.600 2.465 1.646
3.600 -0.772 1.112
3.600 4.158 -1.112
0.000 0.772 3.943
0.000 5.703 1.718
1.800 2.465 -1.415
1.551 0.000 0.000
1.800 -2.465 1.415
5.650 0.000 0.000
1.551 4.931 0.000
2.050 0.000 2.831
```